Structure and calculated powder X-ray diffraction pattern of K2VCdF6 (a crystal structure in Alexandria, relaxed with GGA+U; λ = 1.5418 Å (Cu Kα)).
No peak broadening, texture or thermal motion is included.

```
data_K2VCdF6
_chemical_formula_sum 'K4 V2 Cd2 F12'
_cell_length_a 6.1336
_cell_length_b 6.1493
_cell_length_c 8.6820
_cell_angle_alpha 90.00
_cell_angle_beta 90.00
_cell_angle_gamma 90.00
_space_group_name_H-M_alt 'I m m m'
_space_group_IT_number 71
_space_group_name_Hall '-I 2 2'
loop_
_atom_site_label
_atom_site_type_symbol
_atom_site_fract_x
_atom_site_fract_y
_atom_site_fract_z
_atom_site_occupancy
K1 K 0.0000 0.0000 0.2491 1
V1 V 0.0000 0.5000 0.5000 1
Cd1 Cd 0.0000 0.5000 0.0000 1
F1 F 0.0000 0.5000 0.2573 1
F2 F 0.2432 0.2574 0.5000 1
```

Largest 12 diffraction maxima, in order of falling intensity, 2θ from 10° to 90°:
hkl 2 0 0, 2θ = 29.1°, intensity 100
hkl 2 2 0, 2θ = 41.6°, intensity 55
hkl 1 1 0, 2θ = 20.5°, intensity 43
hkl 3 1 2, 2θ = 51.6°, intensity 37
hkl 2 2 4, 2θ = 60.3°, intensity 26
hkl 1 0 1, 2θ = 17.7°, intensity 17
hkl 2 2 2, 2θ = 46.8°, intensity 15
hkl 0 1 3, 2θ = 34.2°, intensity 13
hkl 3 3 2, 2θ = 68.3°, intensity 13
hkl 2 4 4, 2θ = 83.2°, intensity 9
hkl 5 1 2, 2θ = 83.3°, intensity 9
hkl 2 1 3, 2θ = 45.5°, intensity 6